Theoretical powder diffractogram
Compound: Tb2Hf2O7
Radiation: λ = 1.5418 Å (Cu Kα)
Structure: a structure optimized by DFT (PBE)

Top 6 peaks for 10 to 90 degrees two-theta, low angle first:
- hkl 2 2 2, 2θ 29.4, 3.040 Å, I = 100
- hkl 4 0 0, 2θ 34.1, 2.633 Å, I = 36
- hkl 4 4 0, 2θ 48.9, 1.862 Å, I = 46
- hkl 6 2 2, 2θ 58.1, 1.588 Å, I = 44
- hkl 6 6 2, 2θ 79.3, 1.208 Å, I = 18
- hkl 8 4 0, 2θ 81.8, 1.177 Å, I = 15

Atomic structure:
a = 10.532 Å, b = 10.532 Å, c = 10.532 Å
α = 90.00°, β = 90.00°, γ = 90.00°
Space group Fd-3m (No. 227, origin choice 2)
Unique sites:
1 Tb 0.000 0.000 0.000 x16
2 Hf 0.000 0.000 0.500 x16
3 O 0.087 0.375 0.875 x48
4 O 0.125 0.125 0.125 x8

---

Theoretical powder diffractogram
Compound: Ag4Cl5
Radiation: λ = 1.5418 Å (Cu Kα)
Structure: a structure optimized by DFT (PBE)

Top 6 peaks for 10 to 90 degrees two-theta, low angle first:
- hkl 1 1 0, 2θ 12.5, 7.097 Å, I = 32
- hkl 1 1 -1, 2θ 22.4, 3.970 Å, I = 20
- hkl 2 0 -1, 2θ 26.0, 3.426 Å, I = 100
- hkl 1 3 1, 2θ 33.4, 2.681 Å, I = 90
- hkl 3 3 0, 2θ 38.0, 2.366 Å, I = 64
- hkl 1 3 -2, 2θ 47.2, 1.925 Å, I = 29

Atomic structure:
a = 9.062 Å, b = 11.683 Å, c = 4.443 Å
α = 90.00°, β = 99.60°, γ = 90.00°
Space group C2/m (No. 12)
Unique sites:
1 Ag 0.171 0.158 0.311 x8
2 Cl 0.000 0.000 0.000 x2
3 Cl 0.000 0.292 0.000 x4
4 Cl 0.189 0.500 0.421 x4

---

Theoretical powder diffractogram
Compound: Tb3Dy4Tm
Radiation: λ = 1.5418 Å (Cu Kα)
Structure: a structure optimized by DFT (PBE)

Top 6 peaks for 10 to 90 degrees two-theta, low angle first:
- hkl 0 2 1, 2θ 28.5, 3.131 Å, I = 24
- hkl 4 0 0, 2θ 31.9, 2.803 Å, I = 24
- hkl 2 0 2, 2θ 32.8, 2.734 Å, I = 100
- hkl 0 4 0, 2θ 50.5, 1.808 Å, I = 20
- hkl 6 0 2, 2θ 57.4, 1.605 Å, I = 20
- hkl 4 4 0, 2θ 61.0, 1.519 Å, I = 23

Atomic structure:
a = 11.212 Å, b = 7.237 Å, c = 6.257 Å
α = 90.00°, β = 90.00°, γ = 90.00°
Space group Pmn2_1 (No. 31)
Unique sites:
1 Tb 0.000 0.125 0.000 x2
2 Tb 0.250 0.125 0.333 x4
3 Dy 0.000 0.375 0.501 x2
4 Dy 0.000 0.625 0.000 x2
5 Dy 0.249 0.625 0.334 x4
6 Tm 0.000 0.875 0.500 x2

---

Theoretical powder diffractogram
Compound: Li2Mg
Radiation: λ = 1.5418 Å (Cu Kα)
Structure: a structure optimized by DFT (PBE)

Top 6 peaks for 10 to 90 degrees two-theta, low angle first:
- hkl 0 0 2, 2θ 11.7, 7.553 Å, I = 29
- hkl 1 0 0, 2θ 17.7, 5.018 Å, I = 59
- hkl 0 1 3, 2θ 32.9, 2.721 Å, I = 24
- hkl 0 0 6, 2θ 35.7, 2.518 Å, I = 29
- hkl 2 0 0, 2θ 35.8, 2.509 Å, I = 29
- hkl 1 1 3, 2θ 37.6, 2.392 Å, I = 100

Atomic structure:
a = 5.018 Å, b = 3.234 Å, c = 15.106 Å
α = 90.00°, β = 90.00°, γ = 90.00°
Space group Amm2 (No. 38)
Unique sites:
1 Li 0.000 0.000 0.000 x2
2 Li 0.000 0.000 0.331 x2
3 Li 0.000 0.000 0.662 x2
4 Li 0.500 0.000 0.833 x2
5 Mg 0.500 0.000 0.171 x2
6 Mg 0.500 0.000 0.495 x2

---

Theoretical powder diffractogram
Compound: AcZn4Co
Radiation: λ = 1.5418 Å (Cu Kα)
Structure: a structure optimized by DFT (PBE)

Top 6 peaks for 10 to 90 degrees two-theta, low angle first:
- hkl 1 0 2, 2θ 27.1, 3.285 Å, I = 36
- hkl 2 1 0, 2θ 32.0, 2.799 Å, I = 35
- hkl 2 1 1, 2θ 34.3, 2.611 Å, I = 100
- hkl 1 1 2, 2θ 35.2, 2.547 Å, I = 83
- hkl 1 0 3, 2θ 39.0, 2.307 Å, I = 46
- hkl 0 2 0, 2θ 45.0, 2.016 Å, I = 39

Atomic structure:
a = 7.780 Å, b = 4.032 Å, c = 7.248 Å
α = 90.00°, β = 90.00°, γ = 90.00°
Space group Pmma (No. 51)
Unique sites:
1 Ac 0.250 0.000 0.094 x2
2 Zn 0.000 0.000 0.500 x2
3 Zn 0.066 0.500 0.764 x4
4 Zn 0.250 0.500 0.455 x2
5 Co 0.250 0.000 0.695 x2

---

Theoretical powder diffractogram
Compound: AcPmCl4
Radiation: λ = 1.5418 Å (Cu Kα)
Structure: a structure optimized by DFT (PBE)

Top 6 peaks for 10 to 90 degrees two-theta, low angle first:
- hkl 0 2 0, 2θ 10.9, 8.133 Å, I = 90
- hkl 0 2 1, 2θ 18.8, 4.708 Å, I = 62
- hkl 2 2 -1, 2θ 24.4, 3.652 Å, I = 35
- hkl 0 0 2, 2θ 31.0, 2.884 Å, I = 100
- hkl 4 0 -2, 2θ 44.3, 2.046 Å, I = 36
- hkl 2 4 -3, 2θ 44.6, 2.033 Å, I = 34

Atomic structure:
a = 8.174 Å, b = 16.266 Å, c = 7.040 Å
α = 90.00°, β = 124.89°, γ = 90.00°
Space group C2/c (No. 15)
Unique sites:
1 Ac 0.000 0.071 0.250 x4
2 Pm 0.000 0.443 0.750 x4
3 Cl 0.226 0.319 0.739 x8
4 Cl 0.241 0.429 0.237 x8

---

Theoretical powder diffractogram
Compound: Hf2Be17
Radiation: λ = 1.5418 Å (Cu Kα)
Structure: a structure optimized by DFT (PBE)

Top 6 peaks for 10 to 90 degrees two-theta, low angle first:
- hkl 1 0 1, 2θ 18.3, 4.837 Å, I = 66
- hkl 1 1 0, 2θ 23.8, 3.738 Å, I = 100
- hkl 0 0 2, 2θ 24.5, 3.638 Å, I = 32
- hkl 1 1 2, 2θ 34.4, 2.607 Å, I = 91
- hkl 3 0 0, 2θ 41.9, 2.158 Å, I = 30
- hkl 3 0 2, 2θ 49.1, 1.856 Å, I = 42

Atomic structure:
a = 7.4760 Å, b = 7.4760 Å, c = 7.2764 Å
α = 90.00°, β = 90.00°, γ = 120.00°
Space group P6_3/mmc (No. 194)
Unique sites:
1 Hf 0.0000 0.0000 0.2500 x2
2 Hf 0.3333 0.6667 0.2500 x2
3 Be 0.0000 0.5000 0.0000 x6
4 Be 0.0466 0.3783 0.7500 x12
5 Be 0.1652 0.3303 0.0129 x12
6 Be 0.3333 0.6667 0.6064 x4

---

Theoretical powder diffractogram
Compound: La2HoGa4
Radiation: λ = 1.5418 Å (Cu Kα)
Structure: a structure optimized by DFT (PBE)

Top 6 peaks for 10 to 90 degrees two-theta, low angle first:
- hkl 1 1 2, 2θ 31.0, 2.884 Å, I = 100
- hkl 0 1 5, 2θ 31.2, 2.869 Å, I = 62
- hkl 1 1 4, 2θ 35.1, 2.556 Å, I = 34
- hkl 1 0 7, 2θ 39.3, 2.294 Å, I = 31
- hkl 0 2 0, 2θ 41.6, 2.169 Å, I = 27
- hkl 2 1 5, 2θ 53.9, 1.700 Å, I = 26

Atomic structure:
a = 4.219 Å, b = 4.338 Å, c = 19.129 Å
α = 90.00°, β = 90.00°, γ = 90.00°
Space group Immm (No. 71)
Unique sites:
1 La 0.000 0.000 0.185 x4
2 Ho 0.000 0.500 0.500 x2
3 Ga 0.000 0.000 0.364 x4
4 Ga 0.000 0.500 0.063 x4

---

Theoretical powder diffractogram
Compound: NaRh3O4
Radiation: λ = 1.5418 Å (Cu Kα)
Structure: a structure optimized by DFT (PBE)

Top 6 peaks for 10 to 90 degrees two-theta, low angle first:
- hkl 1 1 0, 2θ 22.1, 4.024 Å, I = 25
- hkl 2 1 0, 2θ 35.3, 2.545 Å, I = 100
- hkl 2 1 1, 2θ 38.8, 2.323 Å, I = 29
- hkl 2 2 2, 2θ 56.0, 1.643 Å, I = 23
- hkl 3 2 0, 2θ 58.5, 1.578 Å, I = 23
- hkl 4 2 1, 2θ 76.8, 1.242 Å, I = 20

Atomic structure:
a = 5.690 Å, b = 5.690 Å, c = 5.690 Å
α = 90.00°, β = 90.00°, γ = 90.00°
Space group Pm-3n (No. 223)
Unique sites:
1 Na 0.000 0.000 0.000 x2
2 Rh 0.000 0.250 0.500 x6
3 O 0.250 0.250 0.250 x8

---

Theoretical powder diffractogram
Compound: SrTlTeO6
Radiation: λ = 1.5418 Å (Cu Kα)
Structure: a structure optimized by DFT (PBE)

Top 6 peaks for 10 to 90 degrees two-theta, low angle first:
- hkl 0 0 1, 2θ 16.7, 5.323 Å, I = 42
- hkl 1 0 1, 2θ 24.8, 3.585 Å, I = 100
- hkl 1 1 0, 2θ 32.0, 2.800 Å, I = 52
- hkl 2 -1 1, 2θ 36.3, 2.478 Å, I = 31
- hkl 2 -1 2, 2θ 47.1, 1.929 Å, I = 53
- hkl 3 -1 1, 2θ 52.8, 1.733 Å, I = 26

Atomic structure:
a = 5.5998 Å, b = 5.5998 Å, c = 5.3225 Å
α = 90.00°, β = 90.00°, γ = 120.00°
Space group P312 (No. 149)
Unique sites:
1 Sr 0.0000 0.0000 0.0000 x1
2 Tl 0.3333 0.6667 0.5000 x1
3 Te 0.6667 0.3333 0.5000 x1
4 O 0.3896 0.0412 0.7127 x6

---

- Number 8 is which compound?
  La2HoGa4